(1)
Theoretical powder X-ray diffraction pattern of Ho3Er4Tm for Cu Ka, from a DFT-relaxed cell (GGA-PBE, Alexandria).
No peak broadening, texture or thermal motion is included.

Cell and atoms:
abc: 11.0786 7.1731 6.2012
angles: 90.00 90.00 90.00
Space group Pmn2_1 (No. 31)
One atom of each set of equivalent atoms:
Ho 0.0000 0.1254 0.0000 (multiplicity 2)
Ho 0.2500 0.1251 0.3332 (multiplicity 4)
Er 0.0000 0.3753 0.5005 (multiplicity 2)
Er 0.0000 0.6248 0.9998 (multiplicity 2)
Er 0.2495 0.6249 0.3334 (multiplicity 4)
Tm 0.0000 0.8749 0.4999 (multiplicity 2)

Most intense lines, 10° ≤ 2θ ≤ 90°, in order of rising 2θ:
2θ = 28.77°, rel. 24, hkl 0 2 1
2θ = 32.32°, rel. 24, hkl 4 0 0
2θ = 33.09°, rel. 100, hkl 2 2 1
2θ = 43.81°, rel. 15, hkl 4 2 1
2θ = 50.97°, rel. 20, hkl 0 4 0
2θ = 58.13°, rel. 20, hkl 6 2 1
2θ = 61.66°, rel. 22, hkl 4 4 0
2θ = 62.12°, rel. 16, hkl 2 4 2
2θ = 84.38°, rel. 9, hkl 2 6 1
2θ = 89.43°, rel. 8, hkl 8 4 0

---

(2)
Theoretical powder X-ray diffraction pattern of Ga2Fe3Co7 for Cu Ka, from a DFT-relaxed cell (GGA-PBE, Alexandria).
No peak broadening, texture or thermal motion is included.

Cell and atoms:
abc: 3.9576 19.7346 3.8889
angles: 90.00 90.00 90.00
Space group Cmmm (No. 65)
One atom of each set of equivalent atoms:
Ga 0.0000 0.1515 0.0000 (multiplicity 4)
Fe 0.0000 0.3477 0.5000 (multiplicity 4)
Fe 0.0000 0.5000 0.5000 (multiplicity 2)
Co 0.0000 0.0000 0.0000 (multiplicity 2)
Co 0.0000 0.0720 0.5000 (multiplicity 4)
Co 0.0000 0.2791 0.0000 (multiplicity 4)
Co 0.0000 0.4259 0.0000 (multiplicity 4)

Most intense lines, 10° ≤ 2θ ≤ 90°, in order of rising 2θ:
2θ = 22.87°, rel. 6, hkl 0 0 1
2θ = 24.61°, rel. 6, hkl 0 2 1
2θ = 39.72°, rel. 9, hkl 1 5 1
2θ = 45.89°, rel. 100, hkl 2 0 0
2θ = 46.72°, rel. 20, hkl 0 0 2
2θ = 66.31°, rel. 5, hkl 0 14 0
2θ = 67.54°, rel. 12, hkl 2 0 2
2θ = 84.36°, rel. 5, hkl 2 14 0
2θ = 84.93°, rel. 16, hkl 3 7 1
2θ = 86.15°, rel. 11, hkl 1 7 3

---

(3)
Theoretical powder X-ray diffraction pattern of YHo8Er5 for Cu Ka, from a DFT-relaxed cell (GGA-PBE, Alexandria).
No peak broadening, texture or thermal motion is included.

Cell and atoms:
abc: 9.4786 9.4786 10.0351
angles: 90.00 90.00 90.00
Space group I-4 (No. 82)
One atom of each set of equivalent atoms:
Y 0.0000 0.0000 0.0000 (multiplicity 2)
Ho 0.0705 0.8239 0.3465 (multiplicity 8)
Ho 0.0900 0.6714 0.0025 (multiplicity 8)
Er 0.0000 0.5000 0.2500 (multiplicity 2)
Er 0.1118 0.7096 0.6753 (multiplicity 8)

Most intense lines, 10° ≤ 2θ ≤ 90°, in order of rising 2θ:
2θ = 28.29°, rel. 47, hkl 1 0 3
2θ = 29.64°, rel. 60, hkl 3 0 1
2θ = 29.81°, rel. 69, hkl 3 1 0
2θ = 32.12°, rel. 22, hkl 2 2 2
2θ = 34.14°, rel. 100, hkl 1 2 3
2θ = 34.87°, rel. 38, hkl 3 1 2
2θ = 35.29°, rel. 48, hkl 2 3 1
2θ = 55.74°, rel. 18, hkl 5 0 3
2θ = 60.09°, rel. 14, hkl 1 6 1
2θ = 63.72°, rel. 18, hkl 3 1 6

---

(4)
Theoretical powder X-ray diffraction pattern of Cd8As5 for Cu Ka, from a DFT-relaxed cell (GGA-PBE, Alexandria).
No peak broadening, texture or thermal motion is included.

Cell and atoms:
abc: 10.8180 8.6199 8.9364
angles: 90.00 125.98 90.00
Space group C2/m (No. 12)
One atom of each set of equivalent atoms:
Cd 0.0702 0.2247 0.3415 (multiplicity 8)
Cd 0.1873 0.0000 0.1030 (multiplicity 4)
Cd 0.2201 0.5000 0.1367 (multiplicity 4)
As 0.0000 0.0000 0.5000 (multiplicity 2)
As 0.0000 0.2677 0.0000 (multiplicity 4)
As 0.1257 0.5000 0.5206 (multiplicity 4)

Most intense lines, 10° ≤ 2θ ≤ 90°, in order of rising 2θ:
2θ = 26.44°, rel. 45, hkl 2 2 -1
2θ = 29.08°, rel. 80, hkl 2 2 0
2θ = 29.40°, rel. 100, hkl 2 0 1
2θ = 30.03°, rel. 44, hkl 2 0 -3
2θ = 33.13°, rel. 26, hkl 4 0 -2
2θ = 41.12°, rel. 23, hkl 4 2 -1
2θ = 41.92°, rel. 39, hkl 0 4 0
2θ = 42.99°, rel. 59, hkl 0 2 3
2θ = 47.38°, rel. 25, hkl 4 2 -4
2θ = 52.03°, rel. 19, hkl 2 4 1

---

(5)
Theoretical powder X-ray diffraction pattern of PrYSeN for Cu Ka, from a DFT-relaxed cell (GGA-PBE, Alexandria).
No peak broadening, texture or thermal motion is included.

Cell and atoms:
abc: 3.7607 3.7607 20.1758
angles: 90.00 90.00 120.00
Space group R3m (No. 160, hexagonal axes)
One atom of each set of equivalent atoms:
Pr 0.0000 0.0000 0.0000 (multiplicity 3)
Y 0.0000 0.0000 0.4672 (multiplicity 3)
Se 0.0000 0.0000 0.2293 (multiplicity 3)
N 0.0000 0.0000 0.7405 (multiplicity 3)

Most intense lines, 10° ≤ 2θ ≤ 90°, in order of rising 2θ:
2θ = 27.75°, rel. 18, hkl 1 0 1
2θ = 28.81°, rel. 27, hkl 0 1 2
2θ = 32.73°, rel. 100, hkl 1 0 4
2θ = 35.42°, rel. 31, hkl 0 1 5
2θ = 40.23°, rel. 13, hkl 0 0 9
2θ = 45.49°, rel. 26, hkl 0 1 8
2θ = 48.41°, rel. 37, hkl 1 1 0
2θ = 59.67°, rel. 17, hkl 0 2 4
2θ = 64.70°, rel. 20, hkl 1 1 9
2θ = 80.28°, rel. 14, hkl 2 1 4

---

(6)
Theoretical powder X-ray diffraction pattern of RbNbAg2Se4 for Cu Ka, from a DFT-relaxed cell (GGA-PBE, Alexandria).
No peak broadening, texture or thermal motion is included.

Cell and atoms:
abc: 6.5896 8.1857 9.1611
angles: 90.00 90.00 90.00
Space group I222 (No. 23)
One atom of each set of equivalent atoms:
Rb 0.0000 0.0000 0.0000 (multiplicity 2)
Nb 0.0000 0.0000 0.5000 (multiplicity 2)
Ag 0.0000 0.5000 0.1581 (multiplicity 4)
Se 0.1910 0.1849 0.3413 (multiplicity 8)

Most intense lines, 10° ≤ 2θ ≤ 90°, in order of rising 2θ:
2θ = 14.51°, rel. 64, hkl 0 1 1
2θ = 26.07°, rel. 100, hkl 1 1 2
2θ = 27.44°, rel. 40, hkl 1 2 1
2θ = 31.26°, rel. 28, hkl 0 1 3
2θ = 34.96°, rel. 58, hkl 2 2 0
2θ = 39.27°, rel. 27, hkl 1 2 3
2θ = 40.86°, rel. 25, hkl 1 3 2
2θ = 43.26°, rel. 26, hkl 1 1 4
2θ = 44.23°, rel. 19, hkl 0 4 0
2θ = 52.89°, rel. 20, hkl 2 3 3

---

(7)
Theoretical powder X-ray diffraction pattern of SbPb3S6 for Cu Ka, from a DFT-relaxed cell (GGA-PBE, Alexandria).
No peak broadening, texture or thermal motion is included.

Cell and atoms:
abc: 12.0200 15.5374 6.2811
angles: 90.00 90.00 90.00
Space group Cmc2_1 (No. 36)
One atom of each set of equivalent atoms:
Sb 0.0000 0.1980 0.0000 (multiplicity 4)
Pb 0.0000 0.3985 0.5864 (multiplicity 4)
Pb 0.1918 0.1063 0.5701 (multiplicity 8)
S 0.0000 0.0538 0.8724 (multiplicity 4)
S 0.0000 0.2142 0.3694 (multiplicity 4)
S 0.1583 0.4925 0.3176 (multiplicity 8)
S 0.1618 0.2603 0.8469 (multiplicity 8)

Most intense lines, 10° ≤ 2θ ≤ 90°, in order of rising 2θ:
2θ = 22.91°, rel. 16, hkl 0 4 0
2θ = 23.47°, rel. 100, hkl 2 2 1
2θ = 28.42°, rel. 9, hkl 0 0 2
2θ = 36.60°, rel. 22, hkl 3 5 0
2θ = 36.81°, rel. 35, hkl 0 4 2
2θ = 40.58°, rel. 8, hkl 5 1 1
2θ = 43.94°, rel. 23, hkl 5 3 1
2θ = 46.97°, rel. 11, hkl 3 5 2
2θ = 47.45°, rel. 13, hkl 2 2 3
2θ = 58.47°, rel. 9, hkl 5 7 1

---

(8)
Theoretical powder X-ray diffraction pattern of U4PdRh12 for Cu Ka, from a DFT-relaxed cell (GGA-PBE, Alexandria).
No peak broadening, texture or thermal motion is included.

Cell and atoms:
abc: 8.3007 8.3007 8.3007
angles: 90.00 90.00 90.00
Space group Im-3m (No. 229)
One atom of each set of equivalent atoms:
U 0.2500 0.2500 0.2500 (multiplicity 8)
Pd 0.0000 0.0000 0.0000 (multiplicity 2)
Rh 0.0000 0.0000 0.2988 (multiplicity 12)
Rh 0.0000 0.2500 0.5000 (multiplicity 12)

Most intense lines, 10° ≤ 2θ ≤ 90°, in order of rising 2θ:
2θ = 30.46°, rel. 30, hkl 2 2 0
2θ = 37.53°, rel. 100, hkl 2 2 2
2θ = 43.62°, rel. 59, hkl 4 0 0
2θ = 49.08°, rel. 9, hkl 4 2 0
2θ = 54.13°, rel. 8, hkl 4 2 2
2θ = 63.39°, rel. 34, hkl 4 4 0
2θ = 71.94°, rel. 10, hkl 6 2 0
2θ = 76.06°, rel. 31, hkl 6 2 2
2θ = 80.10°, rel. 10, hkl 4 4 4
2θ = 88.06°, rel. 10, hkl 6 4 2